For Na2MgGeO4, a crystal structure in the Materials Project, relaxed with GGA-PBE gives the computed X-ray diffraction stick pattern in this record (Cu Kα (λ = 1.5418 Å)).
Neutral-atom scattering factors, no anomalous dispersion.

Atomic structure:
```
data_Na2MgGeO4
_chemical_formula_sum 'Na4 Mg2 Ge2 O8'
_cell_length_a 5.4232
_cell_length_b 5.6925
_cell_length_c 9.0176
_cell_angle_alpha 90.00
_cell_angle_beta 126.88
_cell_angle_gamma 90.00
_space_group_name_H-M_alt 'P 1'
_space_group_IT_number 1
loop_
_space_group_symop_operation_xyz
'x,y,z'
loop_
_atom_site_label
_atom_site_type_symbol
_atom_site_fract_x
_atom_site_fract_y
_atom_site_fract_z
_atom_site_occupancy
Na1 Na 0.0000 0.1729 0.0000 1
Na2 Na 0.0000 0.8271 0.5000 1
Na3 Na 0.2516 0.3187 0.7546 1
Na4 Na 0.2516 0.6813 0.2546 1
Mg1 Mg 0.7354 0.3140 0.2495 1
Mg2 Mg 0.7354 0.6860 0.7495 1
Ge1 Ge 0.4850 0.1868 0.5024 1
Ge2 Ge 0.4850 0.8132 0.0024 1
O1 O 0.1316 0.2095 0.4742 1
O2 O 0.1316 0.7905 0.9742 1
O3 O 0.4250 0.2952 0.2980 1
O4 O 0.4250 0.7048 0.7980 1
O5 O 0.5925 0.1158 0.0306 1
O6 O 0.5925 0.8842 0.5306 1
O7 O 0.7713 0.3504 0.7036 1
O8 O 0.7713 0.6496 0.2036 1
```

Top 10 peaks for 15° ≤ 2θ ≤ 90°, low angle first:
- hkl 0 1 1, 4.468 Å, 19.87°, I = 65
- hkl 1 0 0, 4.335 Å, 20.49°, I = 71
- hkl 1 1 -1, 3.927 Å, 22.65°, I = 30
- hkl 0 1 2, 3.046 Å, 29.32°, I = 51
- hkl 0 2 0, 2.846 Å, 31.43°, I = 47
- hkl 2 0 -2, 2.712 Å, 33.03°, I = 65
- hkl 1 1 -3, 2.656 Å, 33.75°, I = 100
- hkl 0 3 2, 1.679 Å, 54.66°, I = 33
- hkl 3 1 -1, 1.555 Å, 59.46°, I = 41
- hkl 2 3 0, 1.428 Å, 65.37°, I = 26